Record 1
Li6Nb3V3O16: simulated X-ray powder pattern (CuKα), based on a PBE+U-relaxed structure.
Kinematic intensities with the Lorentz-polarization factor, no thermal factor.

Unit cell a=10.4877 b=6.1051 c=10.1015 alpha=90.00 beta=90.33 gamma=90.00
Space group Cm (No. 8)
Unique sites:
Li 0.0000 0.0000 0.0000 x2
Li 0.0041 0.0000 0.6292 x2
Li 0.1648 0.5000 0.5115 x2
Li 0.1767 0.5000 0.1188 x2
Li 0.3173 0.0000 0.1147 x2
Li 0.3241 0.0000 0.6161 x2
Nb 0.0046 0.5000 0.8443 x2
Nb 0.4203 0.2548 0.3293 x4
V 0.1646 0.0000 0.3325 x2
V 0.2563 0.2590 0.8259 x4
O 0.0730 0.2317 0.4423 x4
O 0.0901 0.2702 0.9380 x4
O 0.1666 0.5000 0.7224 x2
O 0.1809 0.0000 0.7343 x2
O 0.2553 0.2312 0.2268 x4
O 0.3124 0.5000 0.9332 x2
O 0.3343 0.0000 0.9345 x2
O 0.3389 0.0000 0.4363 x2
O 0.3448 0.5000 0.4363 x2
O 0.4031 0.2304 0.7233 x4
O 0.4853 0.0000 0.2189 x2
O 0.4925 0.5000 0.2158 x2

Most intense lines, 5 to 70 degrees two-theta, sorted by position:
16.9 deg, d 5.244, I 10, (2 0 0)
17.6 deg, d 5.051, I 100, (0 0 2)
19.0 deg, d 4.674, I 37, (2 0 -1)
24.4 deg, d 3.649, I 10, (2 0 -2)
35.2 deg, d 2.553, I 27, (2 2 -1)
38.5 deg, d 2.339, I 18, (2 2 -2)
43.5 deg, d 2.080, I 14, (2 2 -3)
43.6 deg, d 2.074, I 19, (2 2 3)
57.4 deg, d 1.606, I 13, (2 2 -5)
61.1 deg, d 1.517, I 12, (6 2 0)

=====

Record 2
Li2NbV3O8: simulated X-ray powder pattern (CuKα), based on a PBE+U-relaxed structure.
Kinematic intensities with the Lorentz-polarization factor, no thermal factor.

Unit cell a=6.0610 b=6.0610 c=14.9786 alpha=90.00 beta=90.00 gamma=120.00
Space group R-3m (No. 166, hexagonal axes)
Unique sites:
Li 0.0000 0.0000 0.1279 x6
Nb 0.0000 0.0000 0.5000 x3
V 0.0000 0.5000 0.0000 x9
O 0.0000 0.0000 0.2652 x6
O 0.0299 0.5149 0.2507 x18

Most intense lines, 5 to 70 degrees two-theta, sorted by position:
17.9 deg, d 4.954, I 100, (1 0 1)
34.5 deg, d 2.602, I 18, (0 1 5)
34.6 deg, d 2.590, I 34, (1 1 3)
36.3 deg, d 2.477, I 9, (2 0 2)
42.0 deg, d 2.149, I 55, (0 2 4)
46.2 deg, d 1.967, I 9, (2 1 1)
55.6 deg, d 1.654, I 13, (1 2 5)
55.7 deg, d 1.651, I 8, (0 3 3)
60.8 deg, d 1.524, I 17, (2 0 8)
61.2 deg, d 1.515, I 17, (2 2 0)

=====

Record 3
Li2NbV3O8: simulated X-ray powder pattern (CuKα), based on a PBE+U-relaxed structure.
Kinematic intensities with the Lorentz-polarization factor, no thermal factor.

Unit cell a=12.2828 b=4.1118 c=6.7284 alpha=90.00 beta=107.43 gamma=90.00
Space group Cm (No. 8)
Unique sites:
Li 0.0000 0.0000 0.0000 x2
Li 0.1132 0.0000 0.7059 x2
Nb 0.3468 0.0000 0.0828 x2
V 0.1646 0.5000 0.0656 x2
V 0.2600 0.5000 0.6354 x2
V 0.4458 0.0000 0.6750 x2
O 0.1155 0.5000 0.7300 x2
O 0.1732 0.0000 0.0319 x2
O 0.2038 0.5000 0.3560 x2
O 0.2837 0.0000 0.7077 x2
O 0.3332 0.5000 0.0309 x2
O 0.4053 0.0000 0.3608 x2
O 0.4347 0.5000 0.6905 x2
O 0.4907 0.0000 0.0080 x2

Most intense lines, 5 to 70 degrees two-theta, sorted by position:
13.8 deg, d 6.419, I 90, (0 0 1)
15.1 deg, d 5.859, I 96, (2 0 0)
22.9 deg, d 3.880, I 100, (1 1 0)
27.8 deg, d 3.210, I 81, (0 0 2)
29.5 deg, d 3.030, I 35, (4 0 -1)
31.6 deg, d 2.830, I 95, (3 1 0)
42.2 deg, d 2.140, I 43, (0 0 3)
44.0 deg, d 2.056, I 64, (0 2 0)
44.2 deg, d 2.047, I 61, (6 0 -1)
52.9 deg, d 1.731, I 36, (0 2 2)

=====

Record 4
LiNbVO4: simulated X-ray powder pattern (CuKα), based on a PBE+U-relaxed structure.
Kinematic intensities with the Lorentz-polarization factor, no thermal factor.

Unit cell a=8.6323 b=8.7633 c=6.0721 alpha=90.00 beta=134.65 gamma=90.00
Space group C2 (No. 5)
Unique sites:
Li 0.0000 0.0000 0.0000 x2
Li 0.0000 0.2567 0.5000 x2
Nb 0.0008 0.6306 0.7529 x4
V 0.2433 0.3763 0.2429 x4
O 0.0002 0.3997 0.2377 x4
O 0.0003 0.8585 0.2702 x4
O 0.2338 0.6369 0.7335 x4
O 0.2351 0.6179 0.2351 x4

Most intense lines, 5 to 70 degrees two-theta, sorted by position:
17.6 deg, d 5.029, I 100, (1 1 0)
17.8 deg, d 4.991, I 28, (1 1 -1)
34.0 deg, d 2.637, I 20, (1 3 0)
34.5 deg, d 2.599, I 36, (3 1 -2)
35.7 deg, d 2.515, I 11, (2 2 0)
41.2 deg, d 2.191, I 22, (0 4 0)
41.8 deg, d 2.159, I 43, (0 0 2)
45.5 deg, d 1.992, I 16, (3 1 0)
55.1 deg, d 1.666, I 11, (1 1 2)
60.2 deg, d 1.538, I 27, (0 4 2)

=====

Record 5
Li3Nb4VO12: simulated X-ray powder pattern (CuKα), based on a PBE+U-relaxed structure.
Kinematic intensities with the Lorentz-polarization factor, no thermal factor.

Unit cell a=5.2297 b=5.6472 c=7.6680 alpha=95.62 beta=90.02 gamma=90.21
Space group P1 (No. 1)
Unique sites:
Li 0.0000 0.0000 0.0000 x1
Li 0.0030 0.9970 0.5050 x1
Li 0.4992 0.4994 0.5060 x1
Nb 0.0046 0.5626 0.7098 x1
Nb 0.4969 0.0707 0.2237 x1
Nb 0.5075 0.0624 0.7162 x1
Nb 0.9965 0.5788 0.2163 x1
V 0.4986 0.4651 0.0210 x1
O 0.1352 0.6039 0.9555 x1
O 0.1770 0.9069 0.2639 x1
O 0.1959 0.2862 0.6351 x1
O 0.3033 0.7865 0.6402 x1
O 0.3223 0.4088 0.2664 x1
O 0.3655 0.1091 0.9576 x1
O 0.6276 0.1016 0.4609 x1
O 0.6772 0.4174 0.7715 x1
O 0.6856 0.7782 0.1338 x1
O 0.8060 0.2800 0.1341 x1
O 0.8199 0.9125 0.7652 x1
O 0.8739 0.6013 0.4587 x1

Most intense lines, 5 to 70 degrees two-theta, sorted by position:
23.2 deg, d 3.828, I 100, (1 1 0)
23.3 deg, d 3.816, I 50, (0 0 2)
31.8 deg, d 2.810, I 26, (0 2 0)
32.0 deg, d 2.798, I 50, (1 -1 2)
34.3 deg, d 2.616, I 53, (1 1 2)
47.6 deg, d 1.909, I 23, (2 2 0)
51.9 deg, d 1.761, I 19, (1 3 0)
52.1 deg, d 1.755, I 29, (2 2 -2)
60.0 deg, d 1.542, I 14, (3 -1 2)
61.3 deg, d 1.511, I 17, (0 2 4)